No. 1
Pr7C3I10: simulated X-ray diffraction stick pattern (Cu Kα (weighted mean of Kα1 and Kα2)), based on a DFT-relaxed cell (PBE, OQMD).
Peak positions follow from Bragg's law for the DFT cell and can differ from measured ones.

Top 10 peaks for 2θ from 10° to 90°, by angle:
- hkl 0 3 2, 27.4°, I 100
- hkl 1 -1 4, 28.9°, I 88
- hkl 3 2 0, 29.3°, I 72
- hkl 3 2 4, 32.8°, I 19
- hkl 3 -1 2, 34.6°, I 24
- hkl 1 2 6, 40.0°, I 28
- hkl 3 5 2, 40.4°, I 28
- hkl 1 -4 2, 40.5°, I 30
- hkl -3 1 2, 40.6°, I 50
- hkl 2 3 -4, 42.6°, I 23

Crystal structure
```
data_Pr7C3I10
_chemical_formula_sum 'Pr14 C6 I20'
_cell_length_a 9.8025
_cell_length_b 11.8574
_cell_length_c 14.0527
_cell_angle_alpha 79.46
_cell_angle_beta 71.36
_cell_angle_gamma 66.17
_space_group_name_H-M_alt 'P -1'
_space_group_IT_number 2
loop_
_space_group_symop_operation_xyz
'x,y,z'
'-x,-y,-z'
loop_
_atom_site_label
_atom_site_type_symbol
_atom_site_fract_x
_atom_site_fract_y
_atom_site_fract_z
Pr1 Pr 0.0417 0.2935 0.3076
Pr2 Pr 0.1235 0.5712 0.3596
Pr3 Pr 0.2461 0.4511 0.0790
Pr4 Pr 0.3348 0.7420 0.0998
Pr5 Pr 0.3671 0.2237 0.4131
Pr6 Pr 0.4513 0.6158 0.8242
Pr7 Pr 0.4516 0.0805 0.1658
C1 C 0.2562 0.3882 0.2749
C2 C 0.3320 0.2755 0.2295
C3 C 0.4623 0.5563 0.0226
I1 I 0.0050 0.7191 0.1692
I2 I 0.0658 0.1573 0.5206
I3 I 0.1032 0.5783 0.8777
I4 I 0.1447 0.0249 0.2253
I5 I 0.2147 0.4530 0.5694
I6 I 0.2189 0.8919 0.9089
I7 I 0.3143 0.7462 0.6267
I8 I 0.3545 0.1960 0.9579
I9 I 0.4306 0.6306 0.3036
I10 I 0.4598 0.0633 0.6372
```

=====

No. 2
RbPr6C2I12: simulated X-ray diffraction stick pattern (Cu Kα (weighted mean of Kα1 and Kα2)), based on a DFT-relaxed cell (PBE, OQMD).
Peak positions follow from Bragg's law for the DFT cell and can differ from measured ones.

Top 10 peaks for 2θ from 10° to 90°, by angle:
- hkl 1 -1 2, 24.6°, I 34
- hkl 0 1 3, 27.5°, I 100
- hkl 3 0 1, 28.9°, I 80
- hkl 1 3 0, 29.2°, I 86
- hkl 3 1 4, 39.9°, I 32
- hkl 1 4 3, 40.2°, I 31
- hkl -3 1 2, 40.7°, I 32
- hkl 1 2 -3, 40.8°, I 31
- hkl 2 -3 1, 41.4°, I 27
- hkl 4 3 1, 41.6°, I 26

Crystal structure
```
data_RbPr6C2I12
_chemical_formula_sum 'Rb1 Pr6 C2 I12'
_cell_length_a 9.7601
_cell_length_b 9.7861
_cell_length_c 10.2535
_cell_angle_alpha 70.94
_cell_angle_beta 72.06
_cell_angle_gamma 72.68
_space_group_name_H-M_alt 'P -1'
_space_group_IT_number 2
loop_
_space_group_symop_operation_xyz
'x,y,z'
'-x,-y,-z'
loop_
_atom_site_label
_atom_site_type_symbol
_atom_site_fract_x
_atom_site_fract_y
_atom_site_fract_z
Rb1 Rb 0.0000 0.0000 0.0000
Pr1 Pr 0.2305 0.5899 0.4758
Pr2 Pr 0.3917 0.5240 0.8072
Pr3 Pr 0.4691 0.2286 0.5894
C1 C 0.4761 0.5058 0.5706
I1 I 0.0643 0.6488 0.7797
I2 I 0.1332 0.2807 0.5702
I3 I 0.2172 0.9286 0.3540
I4 I 0.2774 0.5875 0.1431
I5 I 0.3401 0.1983 0.9214
I6 I 0.4296 0.8638 0.7082
```

=====

No. 3
Pr2Sm2CI5: simulated X-ray diffraction stick pattern (Cu Kα (weighted mean of Kα1 and Kα2)), based on a DFT-relaxed cell (PBE, OQMD).
Peak positions follow from Bragg's law for the DFT cell and can differ from measured ones.

Top 10 peaks for 2θ from 10° to 90°, by angle:
- hkl 0 0 1, 10.2°, I 19
- hkl 3 1 -1, 26.9°, I 20
- hkl 6 0 0, 28.5°, I 48
- hkl 3 1 1, 29.3°, I 23
- hkl 1 1 -2, 29.8°, I 100
- hkl 5 1 0, 32.4°, I 29
- hkl 2 0 3, 34.6°, I 17
- hkl 5 1 2, 41.6°, I 29
- hkl 7 1 -2, 41.8°, I 28
- hkl 0 2 0, 44.5°, I 19

Crystal structure
```
data_Pr2Sm2CI5
_chemical_formula_sum 'Pr4 Sm4 C2 I10'
_cell_length_a 19.2982
_cell_length_b 4.0700
_cell_length_c 8.8659
_cell_angle_alpha 90.00
_cell_angle_beta 103.06
_cell_angle_gamma 90.00
_space_group_name_H-M_alt 'C 1 2/m 1'
_space_group_IT_number 12
loop_
_space_group_symop_operation_xyz
'x,y,z'
'-x,-y,-z'
'-x,y,-z'
'x,-y,z'
'x+1/2,y+1/2,z'
'-x+1/2,-y+1/2,-z'
'-x+1/2,y+1/2,-z'
'x+1/2,-y+1/2,z'
loop_
_atom_site_label
_atom_site_type_symbol
_atom_site_fract_x
_atom_site_fract_y
_atom_site_fract_z
Pr1 Pr 0.1358 0.0000 0.0684
Sm1 Sm 0.0007 0.5000 0.8086
C1 C 0.0000 0.0000 0.0000
I1 I 0.0000 0.0000 0.5000
I2 I 0.1629 0.5000 0.3493
I3 I 0.1683 0.5000 0.8136
```